For Hf6B5, a structure optimized by DFT (GGA-PBE) gives the theoretical X-ray powder pattern in this record (CuKα).
No peak broadening, texture or thermal motion is included.

Structure:
Lattice parameters (Å, degrees): 5.943 5.943 5.828 99.73 99.73 120.18
Fractional positions:
Hf1 0.076 0.416 0.244
Hf2 0.247 0.247 0.753
Hf3 0.416 0.076 0.244
Hf4 0.584 0.924 0.756
Hf5 0.753 0.753 0.247
Hf6 0.924 0.584 0.756
B1 0.000 0.000 0.000
B2 0.166 0.834 0.500
B3 0.338 0.662 0.000
B4 0.662 0.338 0.000
B5 0.834 0.166 0.500

Top 10 peaks for 2θ = 10–90°, by intensity:
2θ = 32.1°, intensity 100; 2θ = 37.4°, intensity 77; 2θ = 32.7°, intensity 32; 2θ = 54.3°, intensity 26; 2θ = 64.1°, intensity 19; 2θ = 53.5°, intensity 18; 2θ = 64.8°, intensity 14; 2θ = 63.6°, intensity 10; 2θ = 64.0°, intensity 9; 2θ = 67.0°, intensity 9

For DyHoGe2, a structure optimized by DFT (GGA-PBE) gives the theoretical X-ray powder pattern in this record (CuKα).
No peak broadening, texture or thermal motion is included.

Structure:
Lattice parameters (Å, degrees): 3.925 7.943 5.762 90.00 90.00 90.00
Fractional positions:
Dy1 0.000 0.070 0.000
Dy2 0.500 0.930 0.500
Ho1 0.000 0.570 0.263
Ho2 0.500 0.430 0.763
Ge1 0.000 0.209 0.526
Ge2 0.000 0.707 0.738
Ge3 0.500 0.293 0.238
Ge4 0.500 0.791 0.026

Top 10 peaks for 2θ = 10–90°, by intensity:
2θ = 32.1°, intensity 100; 2θ = 33.1°, intensity 95; 2θ = 29.7°, intensity 84; 2θ = 35.7°, intensity 84; 2θ = 40.5°, intensity 78; 2θ = 37.4°, intensity 55; 2θ = 46.3°, intensity 39; 2θ = 58.0°, intensity 38; 2θ = 48.5°, intensity 30; 2θ = 60.9°, intensity 26